No. 1
Computed powder diffraction line list
Compound: Mg2B5Os3
Radiation: Cu Kα X-rays
Structure: the PBE geometry in OQMD

Most intense lines, 2θ from 10° to 80°, in order of rising 2θ:
2θ/deg, I/Imax, (hkl)
18.57, 100, 2 0 -1
24.92, 46, 1 1 -1
31.59, 65, 1 1 -2
32.06, 40, 2 0 1
36.29, 33, 3 1 -1
36.75, 36, 3 1 -2
40.63, 32, 4 0 -3
42.00, 29, 1 1 -3
45.76, 35, 2 0 -4
50.64, 27, 2 2 0

Cell lengths 9.5665, 4.0471, 8.0419 Å; angles 90.00, 123.99, 90.00 degrees
Space group C2 (No. 5)
Asymmetric unit:
Mg 0.1171 0.0000 0.2679 [4 per cell]
B 0.0000 0.4963 0.0000 [2 per cell]
B 0.0888 0.7542 0.6131 [4 per cell]
B 0.1532 0.4813 0.8063 [4 per cell]
Os 0.0000 0.2597 0.5000 [2 per cell]
Os 0.2425 0.5038 0.1176 [4 per cell]

---

No. 2
Computed powder diffraction line list
Compound: RbLiPtW
Radiation: Cu Kα X-rays
Structure: the PBE geometry in OQMD

Most intense lines, 2θ from 10° to 80°, in order of rising 2θ:
2θ/deg, I/Imax, (hkl)
23.23, 47, 1 1 1
26.89, 5, 2 0 0
38.40, 100, 2 2 0
45.36, 25, 3 1 1
47.50, 1, 2 2 2
55.43, 17, 4 0 0
60.90, 10, 3 3 1
62.66, 2, 4 2 0
69.44, 36, 4 2 2
74.33, 8, 5 1 1

Cell lengths 6.6308, 6.6308, 6.6308 Å; angles 90.00, 90.00, 90.00 degrees
Space group F-43m (No. 216)
Asymmetric unit:
Rb 0.0000 0.0000 0.0000 [4 per cell]
Li 0.2500 0.2500 0.7500 [4 per cell]
Pt 0.0000 0.0000 0.5000 [4 per cell]
W 0.2500 0.2500 0.2500 [4 per cell]

---

No. 3
Computed powder diffraction line list
Compound: Al5Pd2
Radiation: Cu Kα X-rays
Structure: the PBE geometry in OQMD

Most intense lines, 2θ from 10° to 80°, in order of rising 2θ:
2θ/deg, I/Imax, (hkl)
25.07, 77, 0 0 4
27.35, 100, 1 1 2
30.83, 19, 1 1 3
37.99, 25, 2 0 4
40.15, 68, 1 1 5
42.67, 95, 3 0 0
45.60, 41, 1 1 6
50.13, 43, 3 0 4
51.44, 26, 2 2 2
68.99, 19, 4 1 2

Cell lengths 7.3405, 7.3405, 14.2008 Å; angles 90.00, 90.00, 120.00 degrees
Space group P6_3cm (No. 185)
Asymmetric unit:
Al 0.0000 0.0000 0.0231 [2 per cell]
Al 0.0000 0.2555 0.6911 [6 per cell]
Al 0.0000 0.3039 0.9047 [6 per cell]
Al 0.0000 0.3719 0.2906 [6 per cell]
Al 0.0000 0.3744 0.5000 [6 per cell]
Al 0.3333 0.6667 0.1622 [4 per cell]
Pd 0.0000 0.0000 0.3189 [2 per cell]
Pd 0.0000 0.3273 0.0949 [6 per cell]
Pd 0.3333 0.6667 0.3725 [4 per cell]